# 1
Ca3Tl2O6: simulated X-ray powder pattern (Cu Ka), based on a structure optimized by DFT (GGA-PBE).
Lines closer than 0.1° are merged.

Top 10 peaks for 10 to 80 degrees two-theta, in order of rising 2θ:
2theta	intensity	h k l
13.12	83.5	1 2 0
17.70	67.2	1 3 0
25.77	32.5	3 2 0
26.42	42.0	0 0 1
29.60	39.2	1 2 1
30.98	100.0	2 5 0
31.43	28.4	4 0 0
31.98	67.7	1 3 1
37.24	76.5	3 2 1
41.15	30.3	2 5 1

Cell and atoms:
Cell: 11.3853 16.7467 3.3746 Å, 90.00 90.00 90.00°
Space group Pbam (No. 55)
One atom of each set of equivalent atoms:
Ca1 0.1042 0.1453 0.0000 x4
Ca2 0.1334 0.5398 0.0000 x4
Ca3 0.1715 0.7747 0.0000 x4
Tl1 0.0847 0.3511 0.5000 x4
Tl2 0.1348 0.9544 0.5000 x4
O1 0.0000 0.0000 0.0000 x2
O2 0.0000 0.5000 0.5000 x2
O3 0.0435 0.6664 0.0000 x4
O4 0.0528 0.8398 0.5000 x4
O5 0.1918 0.2382 0.5000 x4
O6 0.2162 0.4043 0.0000 x4
O7 0.2194 0.0679 0.5000 x4

# 2
KCu2AgCl4: simulated X-ray powder pattern (Cu Ka), based on a structure optimized by DFT (GGA-PBE).
Lines closer than 0.1° are merged.

Top 10 peaks for 10 to 80 degrees two-theta, in order of rising 2θ:
2theta	intensity	h k l
15.84	98.1	0 1 1
22.98	31.2	0 2 0
28.13	100.0	1 1 2
28.75	20.4	1 2 1
35.18	73.1	2 2 0
35.79	20.7	1 0 3
42.97	24.2	1 2 3
43.68	23.6	1 3 2
47.52	20.9	3 1 2
48.36	24.3	1 1 4

Cell and atoms:
Cell: 6.7848 7.7407 8.0998 Å, 90.00 90.00 90.00°
Space group I222 (No. 23)
One atom of each set of equivalent atoms:
K1 0.0000 0.0000 0.0000 x2
Cu1 0.0000 0.5000 0.1645 x4
Ag1 0.0000 0.0000 0.5000 x2
Cl1 0.2462 0.3281 0.8152 x8

# 3
Er5Tm2Ge4: simulated X-ray powder pattern (Cu Ka), based on a structure optimized by DFT (GGA-PBE).
Lines closer than 0.1° are merged.

Top 10 peaks for 10 to 80 degrees two-theta, in order of rising 2θ:
2theta	intensity	h k l
27.03	41.0	4 0 -2
27.59	55.5	1 1 1
28.87	36.7	3 1 -1
29.28	82.2	6 0 1
31.78	79.5	6 0 -2
35.17	100.0	3 1 -2
36.65	50.8	0 0 3
38.36	36.3	7 1 -1
49.25	35.0	0 2 0
58.33	30.8	6 2 1

Cell and atoms:
Cell: 21.9543 3.7001 7.4562 Å, 90.00 99.38 90.00°
Space group C2/m (No. 12)
One atom of each set of equivalent atoms:
Er1 0.0000 0.0000 0.0000 x2
Er2 0.1100 0.5000 0.3960 x4
Er3 0.1539 0.5000 0.9678 x4
Tm1 0.2278 0.0000 0.6681 x4
Ge1 0.0214 0.5000 0.6973 x4
Ge2 0.0989 0.0000 0.6912 x4

# 4
OsAuCl6: simulated X-ray powder pattern (Cu Ka), based on a structure optimized by DFT (GGA-PBE).
Lines closer than 0.1° are merged.

Top 10 peaks for 10 to 80 degrees two-theta, in order of rising 2θ:
2theta	intensity	h k l
14.32	85.2	1 1 0
15.64	54.2	1 1 -1
17.03	100.0	1 1 1
20.25	35.7	1 1 -2
22.40	40.7	1 1 2
23.12	49.0	2 0 -2
26.55	68.0	0 2 2
26.82	42.0	2 0 2
28.86	39.6	2 2 0
31.09	34.8	3 1 0

Cell and atoms:
Cell: 9.2902 8.3693 11.3700 Å, 90.00 98.52 90.00°
Space group C2/c (No. 15)
One atom of each set of equivalent atoms:
Os1 0.2500 0.2500 0.0000 x4
Au1 0.0000 0.0355 0.2500 x4
Cl1 0.0152 0.1786 0.9084 x8
Cl2 0.1640 0.2526 0.1846 x8
Cl3 0.1891 0.4864 0.4748 x8

# 5
ZnCuC8N5: simulated X-ray powder pattern (Cu Ka), based on a structure optimized by DFT (GGA-PBE).
Lines closer than 0.1° are merged.

Top 10 peaks for 10 to 80 degrees two-theta, in order of rising 2θ:
2theta	intensity	h k l
13.08	90.8	1 1 1
21.43	100.0	2 2 0
25.19	13.1	3 1 1
26.33	14.3	2 2 2
33.30	24.8	3 3 1
37.57	26.6	4 2 2
43.66	17.7	4 4 0
45.77	18.4	5 3 1
56.00	10.6	5 5 1
58.93	20.0	6 4 2

Cell and atoms:
Cell: 11.7275 11.7275 11.7275 Å, 90.00 90.00 90.00°
Space group F-43m (No. 216)
One atom of each set of equivalent atoms:
Zn1 0.0000 0.0000 0.0000 x4
Cu1 0.2500 0.2500 0.2500 x4
C1 0.1542 0.1542 0.1542 x16
C2 0.1777 0.1777 0.6777 x16
N1 0.0966 0.0966 0.0966 x16
N2 0.2500 0.2500 0.7500 x4

# 6
CaAcNiAu: simulated X-ray powder pattern (Cu Ka), based on a structure optimized by DFT (GGA-PBE).
Lines closer than 0.1° are merged.

Top 10 peaks for 10 to 80 degrees two-theta, in order of rising 2θ:
2theta	intensity	h k l
20.56	58.6	1 0 0
22.59	41.8	0 1 1
30.73	97.8	1 1 1
30.92	33.2	0 0 4
31.55	53.3	0 1 3
37.43	44.5	1 0 4
37.96	100.0	1 1 3
41.83	28.5	2 0 0
43.22	26.0	0 2 0
53.32	25.2	2 1 3

Cell and atoms:
Cell: 4.3189 4.1864 11.5665 Å, 90.00 90.00 90.00°
Space group Amm2 (No. 38)
One atom of each set of equivalent atoms:
Ca1 0.0000 0.0000 0.0000 x2
Ac1 0.5000 0.0000 0.7212 x2
Ni1 0.0000 0.0000 0.2835 x2
Au1 0.5000 0.0000 0.4346 x2

# 7
K2Mg9In6: simulated X-ray powder pattern (Cu Ka), based on a structure optimized by DFT (GGA-PBE).
Lines closer than 0.1° are merged.

Top 10 peaks for 10 to 80 degrees two-theta, in order of rising 2θ:
2theta	intensity	h k l
16.08	49.5	1 0 0
18.30	30.7	0 0 3
28.04	54.7	1 1 0
33.69	100.0	1 1 3
37.09	17.7	0 0 6
37.54	25.3	2 0 3
47.13	25.4	1 1 6
53.33	25.7	3 0 3
64.69	14.0	1 1 9
70.85	14.7	2 2 6

Cell and atoms:
Cell: 6.3635 6.3635 14.5452 Å, 90.00 90.00 120.00°
Space group P6/mmm (No. 191)
One atom of each set of equivalent atoms:
K1 0.0000 0.0000 0.1669 x2
Mg1 0.0000 0.5000 0.0000 x3
Mg2 0.0000 0.5000 0.3357 x6
In1 0.3333 0.6667 0.1677 x4
In2 0.3333 0.6667 0.5000 x2

# 8
Nd2Zn7Au: simulated X-ray powder pattern (Cu Ka), based on a structure optimized by DFT (GGA-PBE).
Lines closer than 0.1° are merged.

Top 10 peaks for 10 to 80 degrees two-theta, in order of rising 2θ:
2theta	intensity	h k l
32.79	44.0	1 0 3
34.09	100.0	1 1 2
42.26	49.5	2 0 0
45.39	13.2	1 1 4
47.70	21.2	1 0 5
54.49	20.5	2 1 3
60.48	12.2	1 1 6
61.30	16.0	2 2 0
65.60	15.9	2 1 5
72.04	22.1	3 1 2

Cell and atoms:
Cell: 4.2770 4.2770 10.6490 Å, 90.00 90.00 90.00°
Space group P-4m2 (No. 115)
One atom of each set of equivalent atoms:
Nd1 0.0000 0.5000 0.2435 x2
Zn1 0.0000 0.0000 0.0000 x1
Zn2 0.0000 0.5000 0.6418 x2
Zn3 0.0000 0.5000 0.8717 x2
Zn4 0.5000 0.5000 0.0000 x1
Zn5 0.5000 0.5000 0.5000 x1
Au1 0.0000 0.0000 0.5000 x1

# 9
TiCu3O4: simulated X-ray powder pattern (Cu Ka), based on a structure optimized by DFT (GGA-PBE).
Lines closer than 0.1° are merged.

Top 10 peaks for 10 to 80 degrees two-theta, in order of rising 2θ:
2theta	intensity	h k l
30.95	99.6	0 4 0
33.41	100.0	1 1 0
35.05	65.5	0 1 2
35.87	59.0	1 1 -2
36.09	69.1	1 2 0
37.63	84.3	0 2 2
38.40	86.7	1 2 -2
58.45	49.1	1 0 2
59.52	31.9	0 6 2
60.09	58.6	2 0 -2

Cell and atoms:
Cell: 3.0890 11.5574 5.8828 Å, 90.00 116.80 90.00°
Space group P2_1/c (No. 14)
One atom of each set of equivalent atoms:
Ti1 0.0000 0.0000 0.0000 x2
Cu1 0.0000 0.0000 0.5000 x2
Cu2 0.3011 0.2485 0.8277 x4
O1 0.2394 0.0947 0.3017 x4
O2 0.3547 0.0889 0.8408 x4

# 10
Na5PS4Br2: simulated X-ray powder pattern (Cu Ka), based on a structure optimized by DFT (GGA-PBE).
Lines closer than 0.1° are merged.

Top 10 peaks for 10 to 80 degrees two-theta, in order of rising 2θ:
2theta	intensity	h k l
15.24	20.3	0 1 1
19.58	35.2	1 2 0
26.16	57.2	2 1 1
28.00	100.0	0 3 1
32.60	24.2	1 2 2
33.58	25.5	2 0 2
35.36	28.9	2 3 1
37.62	75.4	2 2 2
43.01	34.2	4 0 0
49.35	22.6	2 5 1

Cell and atoms:
Cell: 8.4095 10.7657 6.9056 Å, 90.00 90.00 90.00°
Space group Amm2 (No. 38)
One atom of each set of equivalent atoms:
Na1 0.0000 0.0000 0.0000 x2
Na2 0.2699 0.1922 0.4791 x8
P1 0.5000 0.0000 0.9973 x2
S1 0.3016 0.0000 0.1732 x4
S2 0.5000 0.1534 0.8160 x4
Br1 0.0000 0.1963 0.7301 x4

# 11
Ac6CoAg3: simulated X-ray powder pattern (Cu Ka), based on a structure optimized by DFT (GGA-PBE).
Lines closer than 0.1° are merged.

Top 10 peaks for 10 to 80 degrees two-theta, in order of rising 2θ:
2theta	intensity	h k l
25.53	100.0	1 0 2
26.22	44.2	1 2 -2
26.95	32.2	0 2 2
27.61	53.5	2 1 -3
27.97	43.8	1 0 -4
28.63	51.9	1 2 1
30.07	53.6	1 1 -4
34.65	34.4	1 3 -1
38.51	52.7	3 1 -1
41.94	29.2	3 1 -5

Cell and atoms:
Cell: 7.7459 8.2466 12.8298 Å, 90.00 120.22 90.00°
Space group P2_1/c (No. 14)
One atom of each set of equivalent atoms:
Ac1 0.0822 0.0442 0.2427 x4
Ac2 0.2157 0.6920 0.0728 x4
Ac3 0.3603 0.1673 0.0601 x4
Co1 0.0000 0.0000 0.0000 x2
Ag1 0.3247 0.1151 0.7708 x4
Ag2 0.5000 0.0000 0.5000 x2

# 12
ScNi3H6: simulated X-ray powder pattern (Cu Ka), based on a structure optimized by DFT (GGA-PBE).
Lines closer than 0.1° are merged.

Top 10 peaks for 10 to 80 degrees two-theta, in order of rising 2θ:
2theta	intensity	h k l
21.60	17.7	0 0 3
27.34	18.2	0 1 2
37.38	54.0	1 0 4
40.68	100.0	1 1 0
43.58	47.8	0 1 5
56.42	15.6	0 2 4
61.13	16.8	2 0 5
71.85	13.7	2 1 4
74.02	15.3	3 0 0
76.04	16.2	1 2 5

Cell and atoms:
Cell: 4.4362 4.4362 12.3432 Å, 90.00 90.00 120.00°
Space group R3 (No. 146, hexagonal axes)
One atom of each set of equivalent atoms:
Sc1 0.0000 0.0000 0.0000 x3
Ni1 0.0000 0.0000 0.2220 x3
Ni2 0.0000 0.0000 0.5645 x3
Ni3 0.0000 0.0000 0.7780 x3
H1 0.0010 0.3628 0.8141 x9
H2 0.0058 0.5166 0.9833 x9